Structure and simulated powder diffraction line list of Si3Bi4O12 (the PBE geometry in the Materials Project; copper Kα).
Kinematic intensities with the Lorentz-polarization factor, no thermal factor.

Cell and atoms:
Cell: 10.429 10.429 10.429 Å, 90.00 90.00 90.00°
Space group I-43d (No. 220)
Symmetry-distinct sites (fractional):
1 Si 0.000 0.250 0.375 [12 per cell]
2 Bi 0.084 0.084 0.084 [16 per cell]
3 O 0.039 0.119 0.691 [48 per cell]

Principal peaks in the range 2θ from 10° to 90°, sorted by position:
- d 4.258, I 100
- d 3.298, I 100
- d 2.787, I 97
- d 2.129, I 54
- d 2.045, I 56
- d 1.789, I 19
- d 1.692, I 40
- d 1.609, I 23
- d 1.538, I 17
- d 1.475, I 22
- d 1.229, I 21
- d 1.212, I 17